# 1
Computed powder diffraction line list
Compound: AgBiAsSe2
Radiation: copper Kα
Structure: DFT lattice parameters and positions (PBE)
Lines closer than 0.1° are merged.

Peak list (10 most intense, 2θ from 10° to 90°, in order of rising 2θ)
index  two_theta  d_spacing  I (rel.)
1 1 0  24.1  3.686  308
1 0 1  25.1  3.546  290
1 1 1  30.5  2.932  1000
2 0 0  34.4  2.606  698
0 0 2  37.2  2.419  283
2 1 1  43.1  2.100  147
2 2 0  49.5  1.843  248
2 0 2  51.5  1.773  439
3 1 1  59.2  1.560  302
2 2 2  63.5  1.466  234

```
data_AgBiAsSe2
_chemical_formula_sum 'Ag1 Bi1 As1 Se2'
_space_group_name_H-M_alt 'P 4/m m m'
_space_group_IT_number 123
_space_group_name_Hall '-P 4 2'
_cell_length_a 5.213
_cell_length_b 5.213
_cell_length_c 4.839
_cell_angle_alpha 90.00
_cell_angle_beta 90.00
_cell_angle_gamma 90.00
loop_
_atom_site_label
_atom_site_type_symbol
_atom_site_fract_x
_atom_site_fract_y
_atom_site_fract_z
_atom_site_occupancy
Ag1 Ag 0.000 0.000 0.000 1
Bi1 Bi 0.500 0.500 0.000 1
As1 As 0.000 0.000 0.500 1
Se1 Se 0.000 0.500 0.500 1
```


# 2
Computed powder diffraction line list
Compound: Ag2AsBr5
Radiation: copper Kα
Structure: DFT lattice parameters and positions (PBE)
Lines closer than 0.1° are merged.

Peak list (10 most intense, 2θ from 10° to 90°, in order of rising 2θ)
index  two_theta  d_spacing  I (rel.)
1 0 1  13.4  6.598  449
0 0 2  15.7  5.630  1000
1 1 2  22.1  4.025  359
2 1 1  25.7  3.465  209
2 2 0  31.1  2.879  537
0 0 4  31.8  2.815  284
2 2 2  35.0  2.563  430
4 0 0  44.5  2.036  163
2 2 4  45.0  2.013  349
4 0 2  47.5  1.915  192

```
data_Ag2AsBr5
_chemical_formula_sum 'Ag4 As2 Br10'
_space_group_name_H-M_alt 'I 4'
_space_group_IT_number 79
_cell_length_a 8.142
_cell_length_b 8.142
_cell_length_c 11.260
_cell_angle_alpha 90.00
_cell_angle_beta 90.00
_cell_angle_gamma 90.00
loop_
_space_group_symop_operation_xyz
'x,y,z'
'-y,x,z'
'-x,-y,z'
'y,-x,z'
'x+1/2,y+1/2,z+1/2'
'-y+1/2,x+1/2,z+1/2'
'-x+1/2,-y+1/2,z+1/2'
'y+1/2,-x+1/2,z+1/2'
loop_
_atom_site_label
_atom_site_type_symbol
_atom_site_fract_x
_atom_site_fract_y
_atom_site_fract_z
_atom_site_occupancy
Ag1 Ag 0.000 0.500 0.000 1
As1 As 0.000 0.000 0.473 1
Br1 Br 0.000 0.000 0.264 1
Br2 Br 0.202 0.737 0.501 1
```